(1)
Diffraction record for MgCu3AsS4. The PXRD pattern is simulated, not measured: it uses a structure optimized by DFT (PBE) and copper Kα.
Peak positions follow from Bragg's law for the DFT cell and can differ from measured ones.

```
9
Lattice="3.996 2.307 3.083 -3.996 2.307 3.083 0.000 -4.615 3.083" Properties=species:S:1:pos:R:3 pbc="T T T"
Mg 0.000 0.000 0.000
Cu 0.000 -2.172 3.749
Cu -1.881 1.086 3.749
Cu 1.881 1.086 3.749
As 0.000 0.000 6.526
S 0.000 0.000 4.263
S -2.110 -1.218 7.517
S 2.110 -1.218 7.517
S 0.000 2.436 7.517
```

The 10 most intense peaks (2θ = 10–80°), in order of rising 2θ:
27.52 deg, I 1000
28.97 deg, I 337
32.31 deg, I 112
45.39 deg, I 515
47.28 deg, I 418
53.90 deg, I 132
54.75 deg, I 288
56.41 deg, I 82
67.62 deg, I 125
73.05 deg, I 94

(2)
Diffraction record for Rb2Al2Si3O10. The PXRD pattern is simulated, not measured: it uses a structure optimized by DFT (PBE) and copper Kα.
Peak positions follow from Bragg's law for the DFT cell and can differ from measured ones.

```
34
Lattice="0.000 9.435 3.303 8.803 0.000 3.303 8.803 9.435 0.000" Properties=species:S:1:pos:R:3 pbc="T T T"
Rb 9.612 5.878 3.303
Rb 12.396 10.595 4.955
Rb 7.994 12.992 3.303
Rb 14.014 17.709 4.955
Al 8.085 1.745 3.367
Al 3.683 2.972 1.716
Al 5.120 6.462 1.716
Al 9.522 17.124 3.367
Si 10.580 10.086 1.660
Si 7.027 8.783 1.660
Si 6.178 4.066 3.312
Si 8.803 9.435 4.141
Si 11.428 14.803 3.312
Si 13.205 14.152 5.793
O 10.630 8.534 1.162
O 13.968 5.853 3.363
O 7.878 7.845 0.649
O 0.925 1.589 0.649
O 12.109 10.671 1.765
O 5.327 3.128 2.300
O 7.707 3.481 3.417
O 6.977 10.335 1.162
O 6.228 5.618 2.814
O 5.498 8.198 1.765
O 9.923 10.188 3.189
O 11.378 13.251 2.814
O 3.477 6.307 2.300
O 7.684 8.681 3.189
O 14.325 13.398 4.840
O 9.567 8.299 5.015
O 9.899 15.388 3.417
O 12.085 14.906 4.840
O 8.040 10.570 5.015
O 3.638 13.016 3.363
```

The 10 most intense peaks (2θ = 10–80°), in order of rising 2θ:
21.37 deg, I 745
22.29 deg, I 861
27.69 deg, I 986
28.63 deg, I 759
28.87 deg, I 841
29.12 deg, I 965
31.26 deg, I 1000
32.13 deg, I 569
38.15 deg, I 346
39.08 deg, I 722

(3)
Diffraction record for Li4Ti5O12. The PXRD pattern is simulated, not measured: it uses a structure optimized by DFT (PBE) and copper Kα.
Peak positions follow from Bragg's law for the DFT cell and can differ from measured ones.

```
42
Lattice="5.288 0.000 0.000 1.833 9.354 0.000 2.058 2.535 9.380" Properties=species:S:1:pos:R:3 pbc="T T T"
Li 2.279 4.842 3.793
Li 3.154 8.542 0.212
Li 4.196 8.611 5.213
Li 3.075 5.677 1.040
Li 6.104 6.212 8.339
Li 4.983 3.278 4.167
Li 6.025 3.347 9.168
Li 6.900 7.047 5.587
Ti 3.564 7.715 7.978
Ti 2.506 2.639 6.331
Ti 3.388 4.786 8.743
Ti 2.193 1.628 2.583
Ti 4.375 5.495 6.059
Ti 4.804 6.394 3.320
Ti 6.986 10.261 6.797
Ti 5.790 7.103 0.637
Ti 6.673 9.250 3.048
Ti 5.615 4.174 1.401
O 1.353 3.229 2.843
O 2.692 5.956 7.302
O 2.510 3.136 8.081
O 3.118 9.661 3.543
O 4.144 9.217 8.929
O 2.045 3.982 0.102
O 3.427 6.535 4.558
O 3.353 3.888 5.324
O 2.185 1.181 0.825
O 5.255 10.375 6.164
O 4.972 7.224 6.838
O 4.226 7.289 1.746
O 4.953 4.600 7.634
O 4.207 4.665 2.541
O 3.923 1.514 3.215
O 6.994 10.708 8.554
O 5.826 8.001 4.056
O 5.752 5.354 4.822
O 7.134 7.907 9.278
O 5.035 2.672 0.451
O 6.061 2.228 5.837
O 6.669 8.753 1.299
O 6.487 5.933 2.077
O 7.826 8.660 6.537
```

The 10 most intense peaks (2θ = 10–80°), in order of rising 2θ:
18.35 deg, I 1000
21.12 deg, I 303
23.07 deg, I 221
24.37 deg, I 237
27.65 deg, I 246
28.97 deg, I 222
30.85 deg, I 237
42.23 deg, I 436
60.93 deg, I 305
62.57 deg, I 311

(4)
Diffraction record for PrClO2. The PXRD pattern is simulated, not measured: it uses a structure optimized by DFT (PBE) and copper Kα.
Peak positions follow from Bragg's law for the DFT cell and can differ from measured ones.

```
8
Lattice="6.528 0.000 0.000 0.000 3.726 0.000 -1.794 0.000 6.538" Properties=species:S:1:pos:R:3 pbc="T T T"
Pr 0.560 0.932 2.109
Pr 4.174 2.795 4.428
Cl 1.513 2.795 0.106
Cl 3.221 0.932 6.431
O -0.840 0.932 4.084
O 2.089 2.795 3.337
O 2.645 0.932 3.200
O 5.574 2.795 2.454
```

The 10 most intense peaks (2θ = 10–80°), in order of rising 2θ:
13.54 deg, I 511
14.07 deg, I 718
16.77 deg, I 916
22.04 deg, I 984
27.21 deg, I 681
27.55 deg, I 799
27.82 deg, I 496
29.32 deg, I 1000
36.55 deg, I 533
41.90 deg, I 479

(5)
Diffraction record for GaH6N2F3. The PXRD pattern is simulated, not measured: it uses a structure optimized by DFT (PBE) and copper Kα.
Peak positions follow from Bragg's law for the DFT cell and can differ from measured ones.

```
12
Lattice="5.031 -2.014 0.000 5.031 2.014 0.000 -4.856 0.000 5.181" Properties=species:S:1:pos:R:3 pbc="T T T"
Ga 0.000 0.000 0.000
H 2.070 0.822 1.321
H 1.084 0.000 2.359
H 3.135 0.822 3.860
H 2.070 -0.822 1.321
H 4.121 0.000 2.821
H 3.135 -0.822 3.860
N 1.457 0.000 1.404
N 3.748 0.000 3.777
F -3.504 0.000 3.812
F 5.031 0.000 0.000
F 8.709 0.000 1.369
```

The 10 most intense peaks (2θ = 10–80°), in order of rising 2θ:
17.12 deg, I 1000
17.64 deg, I 788
24.25 deg, I 658
25.09 deg, I 460
25.22 deg, I 878
25.42 deg, I 757
38.56 deg, I 233
43.26 deg, I 313
45.00 deg, I 280
51.78 deg, I 219

(6)
Diffraction record for Ca6Si3O13. The PXRD pattern is simulated, not measured: it uses a structure optimized by DFT (PBE) and copper Kα.
Peak positions follow from Bragg's law for the DFT cell and can differ from measured ones.

```
44
Lattice="6.879 0.000 0.000 -0.983 6.975 0.000 -1.823 -0.485 12.812" Properties=species:S:1:pos:R:3 pbc="T T T"
Ca -0.269 0.088 4.097
Ca -1.114 2.923 9.034
Ca 0.263 5.568 1.590
Ca 0.434 5.357 6.558
Ca 1.718 3.132 3.710
Ca 0.400 5.252 11.408
Ca 3.673 1.238 1.404
Ca 2.355 3.358 9.102
Ca 3.639 1.133 6.254
Ca 3.810 0.921 11.222
Ca 5.187 3.567 3.778
Ca 4.342 6.402 8.715
Si 0.326 1.945 1.253
Si 0.239 1.862 6.524
Si 0.244 1.571 11.349
Si 3.829 4.919 1.463
Si 3.834 4.628 6.288
Si 3.747 4.545 11.559
O -1.096 1.234 7.256
O -1.783 5.231 12.128
O -0.003 3.309 2.110
O -0.854 0.902 10.324
O -0.136 2.382 4.993
O -0.489 1.875 12.807
O 1.240 0.983 2.266
O -0.338 5.417 8.925
O 0.644 5.289 4.059
O 0.744 3.124 7.453
O 1.356 0.688 6.240
O 0.650 3.009 10.655
O 1.540 0.625 11.698
O 2.534 5.864 1.114
O 3.423 3.480 2.157
O 2.717 5.801 6.572
O 3.330 3.365 5.359
O 3.429 1.201 8.753
O 4.411 1.073 3.887
O 2.833 5.506 10.546
O 4.562 4.614 0.005
O 4.210 4.107 7.819
O 4.927 5.588 2.488
O 4.077 3.181 10.702
O 5.856 1.259 0.684
O 5.169 5.255 5.556
```

The 10 most intense peaks (2θ = 10–80°), in order of rising 2θ:
28.69 deg, I 582
29.64 deg, I 458
30.52 deg, I 379
30.93 deg, I 435
31.35 deg, I 1000
31.74 deg, I 537
32.57 deg, I 569
33.80 deg, I 384
35.02 deg, I 754
39.12 deg, I 367

(7)
Diffraction record for Mg4CN4. The PXRD pattern is simulated, not measured: it uses a structure optimized by DFT (PBE) and copper Kα.
Peak positions follow from Bragg's law for the DFT cell and can differ from measured ones.

```
36
Lattice="10.228 0.000 0.000 0.000 3.202 0.000 0.000 0.000 12.590" Properties=species:S:1:pos:R:3 pbc="T T T"
Mg 1.084 0.800 0.617
Mg 1.193 2.401 2.982
Mg 1.388 2.401 10.577
Mg 1.482 0.800 8.024
Mg 3.632 2.401 1.729
Mg 3.726 0.800 4.282
Mg 3.921 0.800 9.277
Mg 4.030 2.401 6.912
Mg 6.198 0.800 5.678
Mg 6.307 2.401 3.313
Mg 6.502 2.401 8.309
Mg 6.596 0.800 10.861
Mg 8.746 2.401 4.566
Mg 8.840 0.800 2.014
Mg 9.035 0.800 9.608
Mg 9.144 2.401 11.973
C 1.212 0.800 5.350
C 3.902 2.401 11.645
C 6.326 0.800 0.945
C 9.016 2.401 7.240
N 0.185 0.800 4.645
N 0.198 0.800 11.176
N 2.263 0.800 6.002
N 2.496 0.800 2.543
N 2.618 2.401 8.838
N 2.851 2.401 12.297
N 4.916 2.401 4.881
N 4.929 2.401 10.940
N 5.299 0.800 1.650
N 5.312 0.800 7.709
N 7.377 0.800 0.293
N 7.610 0.800 3.752
N 7.732 2.401 10.047
N 7.965 2.401 6.588
N 10.030 2.401 1.414
N 10.043 2.401 7.945
```

The 10 most intense peaks (2θ = 10–80°), in order of rising 2θ:
11.15 deg, I 233
30.09 deg, I 273
35.09 deg, I 223
36.04 deg, I 965
39.91 deg, I 1000
41.25 deg, I 685
44.41 deg, I 496
57.57 deg, I 357
57.82 deg, I 234
72.36 deg, I 361